The following is a theoretical X-ray diffraction stick pattern of MgCuB4. It was derived from a GGA-PBE-relaxed structure, using CuKα.

Principal peaks in the range 2θ from 10° to 90°, sorted by position:
| 2θ/deg | I (rel.) | index |
| --- | --- | --- |
| 21.42 | 493 | 0 1 1 |
| 26.04 | 295 | 0 0 2 |
| 34.22 | 521 | 1 1 0 |
| 34.38 | 253 | 0 2 0 |
| 43.50 | 1000 | 1 1 2 |
| 43.63 | 501 | 0 2 2 |

```
data_MgCuB4
_symmetry_space_group_name_H-M 'I m m m'
_symmetry_Int_Tables_number 71
_symmetry_space_group_name_Hall '-I 2 2'
_cell_length_a 3.030
_cell_length_b 5.218
_cell_length_c 6.843
_cell_angle_alpha 90.00
_cell_angle_beta 90.00
_cell_angle_gamma 90.00
loop_
_atom_site_label
_atom_site_fract_x
_atom_site_fract_y
_atom_site_fract_z
_atom_site_occupancy
Mg1 0.000 0.000 0.000 1
Cu1 0.000 0.000 0.500 1
B1 0.000 0.332 0.255 1
```

---

The following is a theoretical X-ray diffraction stick pattern of CuB2Mo3. It was derived from a GGA-PBE-relaxed structure, using CuKα.

Principal peaks in the range 2θ from 10° to 90°, sorted by position:
| 2θ/deg | I (rel.) | index |
| --- | --- | --- |
| 33.61 | 328 | 1 0 1 |
| 38.87 | 1000 | 1 0 4 |
| 39.79 | 222 | 0 0 8 |
| 41.76 | 325 | 1 0 5 |
| 59.38 | 282 | 1 1 0 |
| 73.87 | 204 | 1 1 8 |

```
data_CuB2Mo3
_symmetry_space_group_name_H-M 'P 63/m m c'
_symmetry_Int_Tables_number 194
_symmetry_space_group_name_Hall '-P 6c 2c'
_cell_length_a 3.1127
_cell_length_b 3.1127
_cell_length_c 18.1253
_cell_angle_alpha 90.00
_cell_angle_beta 90.00
_cell_angle_gamma 120.00
loop_
_atom_site_label
_atom_site_fract_x
_atom_site_fract_y
_atom_site_fract_z
_atom_site_occupancy
Cu1 0.0000 0.0000 0.2500 1
B1 0.3333 0.6667 0.0734 1
Mo1 0.0000 0.0000 0.0000 1
Mo2 0.3333 0.6667 0.6374 1
```